1.
Ho3Er8Sc3: calculated PXRD pattern (Cu Kα (λ = 1.5418 Å)), based on a DFT-relaxed cell (PBE, Alexandria).
Kinematic intensities with the Lorentz-polarization factor, no thermal factor.

Structure:
```
data_Ho3Er8Sc3
_cell_length_a 10.470
_cell_length_b 14.490
_cell_length_c 5.479
_cell_angle_alpha 90.00
_cell_angle_beta 90.00
_cell_angle_gamma 90.00
_symmetry_space_group_name_H-M 'I m m 2'
_symmetry_Int_Tables_number 44
_symmetry_space_group_name_Hall 'I 2 -2'
loop_
_atom_site_label
_atom_site_type_symbol
_atom_site_fract_x
_atom_site_fract_y
_atom_site_fract_z
Ho1 Ho 0.000 0.000 0.000
Ho2 Ho 0.200 0.000 0.500
Er1 Er 0.156 0.277 0.000
Er2 Er 0.156 0.396 0.500
Sc1 Sc 0.000 0.184 0.501
Sc2 Sc 0.000 0.500 0.999
```

Top 10 peaks for 2θ from 10° to 80°, low angle first:
h k l  two_theta  I (rel.)
2 0 0  16.94  15
1 3 0  20.25  19
1 4 1  30.80  36
3 3 0  31.63  20
0 0 2  32.69  56
3 2 1  32.84  100
0 5 1  35.03  50
2 5 1  39.15  20
4 5 1  49.80  16
3 2 3  58.44  19

---

2.
YHo3Ga2: calculated PXRD pattern (Cu Kα (λ = 1.5418 Å)), based on a DFT-relaxed cell (PBE, Alexandria).
Kinematic intensities with the Lorentz-polarization factor, no thermal factor.

Structure:
```
data_YHo3Ga2
_cell_length_a 4.911
_cell_length_b 9.424
_cell_length_c 6.616
_cell_angle_alpha 90.00
_cell_angle_beta 90.00
_cell_angle_gamma 90.00
_symmetry_space_group_name_H-M 'P m c 21'
_symmetry_Int_Tables_number 26
_symmetry_space_group_name_Hall 'P 2c -2'
loop_
_atom_site_label
_atom_site_type_symbol
_atom_site_fract_x
_atom_site_fract_y
_atom_site_fract_z
Y1 Y 0.000 0.051 0.000
Ho1 Ho 0.000 0.320 0.635
Ho2 Ho 0.500 0.182 0.294
Ho3 Ho 0.500 0.449 0.928
Ga1 Ga 0.000 0.361 0.175
Ga2 Ga 0.500 0.139 0.751
```

Top 10 peaks for 2θ from 10° to 80°, low angle first:
h k l  two_theta  I (rel.)
1 2 1  29.54  45
0 3 1  31.53  24
1 0 2  32.64  67
0 2 2  33.09  32
1 3 0  33.87  100
1 1 2  34.03  81
2 0 0  36.59  82
0 3 2  39.56  29
1 4 3  60.53  31
3 3 0  64.19  28

---

3.
DyEr2C3: calculated PXRD pattern (Cu Kα (λ = 1.5418 Å)), based on a DFT-relaxed cell (PBE, Alexandria).
Kinematic intensities with the Lorentz-polarization factor, no thermal factor.

Structure:
```
data_DyEr2C3
_cell_length_a 5.630
_cell_length_b 10.096
_cell_length_c 7.510
_cell_angle_alpha 90.00
_cell_angle_beta 90.00
_cell_angle_gamma 90.00
_symmetry_space_group_name_H-M 'I m m a'
_symmetry_Int_Tables_number 74
_symmetry_space_group_name_Hall '-I 2b 2'
loop_
_atom_site_label
_atom_site_type_symbol
_atom_site_fract_x
_atom_site_fract_y
_atom_site_fract_z
Dy1 Dy 0.000 0.250 0.027
Er1 Er 0.000 0.074 0.669
C1 C 0.122 0.000 0.000
C2 C 0.250 0.250 0.750
```

Top 10 peaks for 2θ from 10° to 80°, low angle first:
h k l  two_theta  I (rel.)
0 1 1  14.70  45
1 2 1  26.52  95
0 3 1  29.08  60
0 2 2  29.65  31
1 1 2  29.94  39
2 0 0  31.79  61
1 0 3  39.38  100
2 3 1  43.62  46
2 2 2  44.03  31
1 3 4  58.64  28

---

4.
Cs4Pd3F12: calculated PXRD pattern (Cu Kα (λ = 1.5418 Å)), based on a DFT-relaxed cell (PBE, Alexandria).
Kinematic intensities with the Lorentz-polarization factor, no thermal factor.

Structure:
```
data_Cs4Pd3F12
_cell_length_a 10.124
_cell_length_b 10.124
_cell_length_c 10.124
_cell_angle_alpha 90.00
_cell_angle_beta 90.00
_cell_angle_gamma 90.00
_symmetry_space_group_name_H-M 'I m -3'
_symmetry_Int_Tables_number 204
_symmetry_space_group_name_Hall '-I 2 2 3'
loop_
_atom_site_label
_atom_site_type_symbol
_atom_site_fract_x
_atom_site_fract_y
_atom_site_fract_z
Cs1 Cs 0.250 0.250 0.250
Pd1 Pd 0.000 0.000 0.500
F1 F 0.000 0.136 0.363
```

Top 10 peaks for 2θ from 10° to 80°, low angle first:
h k l  two_theta  I (rel.)
1 1 0  12.36  16
2 1 1  21.50  9
2 2 0  24.88  100
4 0 0  35.47  17
4 0 2  39.82  6
4 2 2  43.81  48
4 4 0  51.03  12
6 2 0  57.58  21
4 4 4  63.69  7
6 4 2  69.48  22

---

5.
K2GaSnO5: calculated PXRD pattern (Cu Kα (λ = 1.5418 Å)), based on a DFT-relaxed cell (PBE, Alexandria).
Kinematic intensities with the Lorentz-polarization factor, no thermal factor.

Structure:
```
data_K2GaSnO5
_cell_length_a 3.158
_cell_length_b 13.885
_cell_length_c 12.793
_cell_angle_alpha 90.00
_cell_angle_beta 90.00
_cell_angle_gamma 90.00
_symmetry_space_group_name_H-M 'C m c 21'
_symmetry_Int_Tables_number 36
_symmetry_space_group_name_Hall 'C 2c -2'
loop_
_atom_site_label
_atom_site_type_symbol
_atom_site_fract_x
_atom_site_fract_y
_atom_site_fract_z
K1 K 0.000 0.126 0.000
K2 K 0.000 0.129 0.504
Ga1 Ga 0.000 0.492 0.734
Sn1 Sn 0.000 0.240 0.263
O1 O 0.000 0.076 0.274
O2 O 0.000 0.261 0.657
O3 O 0.000 0.274 0.871
O4 O 0.000 0.390 0.306
O5 O 0.000 0.496 0.091
```

Top 10 peaks for 2θ from 10° to 80°, low angle first:
h k l  two_theta  I (rel.)
0 0 2  13.84  86
0 0 4  27.90  53
0 4 2  29.27  100
1 1 1  29.84  35
1 1 2  32.26  31
1 3 0  34.38  23
1 1 3  35.97  41
1 1 5  46.12  22
0 4 6  50.22  21
2 4 2  66.67  25

---

6.
Y3InS6: calculated PXRD pattern (Cu Kα (λ = 1.5418 Å)), based on a DFT-relaxed cell (PBE, Alexandria).
Kinematic intensities with the Lorentz-polarization factor, no thermal factor.

Structure:
```
data_Y3InS6
_cell_length_a 10.742
_cell_length_b 13.450
_cell_length_c 6.620
_cell_angle_alpha 90.00
_cell_angle_beta 90.00
_cell_angle_gamma 90.00
_symmetry_space_group_name_H-M 'C m c 21'
_symmetry_Int_Tables_number 36
_symmetry_space_group_name_Hall 'C 2c -2'
loop_
_atom_site_label
_atom_site_type_symbol
_atom_site_fract_x
_atom_site_fract_y
_atom_site_fract_z
Y1 Y 0.000 0.096 0.000
Y2 Y 0.187 0.401 0.088
In1 In 0.000 0.299 0.614
S1 S 0.000 0.280 0.246
S2 S 0.000 0.467 0.783
S3 S 0.163 0.031 0.292
S4 S 0.172 0.228 0.819
```

Top 10 peaks for 2θ from 10° to 80°, low angle first:
h k l  two_theta  I (rel.)
2 2 1  25.12  100
1 3 1  25.39  60
3 1 1  29.12  23
2 2 2  34.51  17
3 3 1  34.81  21
3 1 2  37.60  37
0 4 2  38.15  21
3 5 0  42.01  46
5 3 1  48.97  39
6 0 0  51.01  15

---

7.
Al7CdAg4: calculated PXRD pattern (Cu Kα (λ = 1.5418 Å)), based on a DFT-relaxed cell (PBE, Alexandria).
Kinematic intensities with the Lorentz-polarization factor, no thermal factor.

Structure:
```
data_Al7CdAg4
_cell_length_a 2.9788
_cell_length_b 2.9788
_cell_length_c 27.1734
_cell_angle_alpha 90.00
_cell_angle_beta 90.00
_cell_angle_gamma 120.00
_symmetry_space_group_name_H-M 'P -3 m 1'
_symmetry_Int_Tables_number 164
_symmetry_space_group_name_Hall '-P 3 2"'
loop_
_atom_site_label
_atom_site_type_symbol
_atom_site_fract_x
_atom_site_fract_y
_atom_site_fract_z
Al1 Al 0.0000 0.0000 0.0000
Al2 Al 0.0000 0.0000 0.2457
Al3 Al 0.3333 0.6667 0.1632
Al4 Al 0.3333 0.6667 0.4090
Cd1 Cd 0.0000 0.0000 0.5000
Ag1 Ag 0.3333 0.6667 0.6732
Ag2 Ag 0.3333 0.6667 0.9182
```

Top 10 peaks for 2θ from 10° to 80°, low angle first:
h k l  two_theta  I (rel.)
0 0 5  16.31  53
0 0 7  22.91  16
0 1 1  34.94  24
0 1 3  36.21  18
1 0 4  37.29  100
0 0 12  39.81  24
0 1 8  44.08  58
1 1 0  62.34  21
1 0 16  65.84  15
1 1 12  76.56  20

---

8.
Li2HfScO4: calculated PXRD pattern (Cu Kα (λ = 1.5418 Å)), based on a DFT-relaxed cell (PBE, Alexandria).
Kinematic intensities with the Lorentz-polarization factor, no thermal factor.

Structure:
```
data_Li2HfScO4
_cell_length_a 4.273
_cell_length_b 4.273
_cell_length_c 8.971
_cell_angle_alpha 90.00
_cell_angle_beta 90.00
_cell_angle_gamma 90.00
_symmetry_space_group_name_H-M 'I -4 m 2'
_symmetry_Int_Tables_number 119
_symmetry_space_group_name_Hall 'I -4 -2'
loop_
_atom_site_label
_atom_site_type_symbol
_atom_site_fract_x
_atom_site_fract_y
_atom_site_fract_z
Li1 Li 0.000 0.000 0.000
Li2 Li 0.000 0.500 0.250
Hf1 Hf 0.000 0.500 0.750
Sc1 Sc 0.000 0.000 0.500
O1 O 0.000 0.000 0.251
O2 O 0.000 0.500 0.508
```

Top 10 peaks for 2θ from 10° to 80°, low angle first:
h k l  two_theta  I (rel.)
0 0 2  19.79  19
1 0 1  23.06  100
1 1 0  29.57  15
1 1 2  35.83  28
1 0 3  36.68  28
0 0 4  40.21  16
2 0 0  42.30  28
2 1 1  48.72  27
2 1 3  57.21  16
2 0 4  59.78  19

---

9.
PrAu4: calculated PXRD pattern (Cu Kα (λ = 1.5418 Å)), based on a DFT-relaxed cell (PBE, Alexandria).
Kinematic intensities with the Lorentz-polarization factor, no thermal factor.

Structure:
```
data_PrAu4
_cell_length_a 5.763
_cell_length_b 5.764
_cell_length_c 7.282
_cell_angle_alpha 90.00
_cell_angle_beta 113.14
_cell_angle_gamma 90.00
_symmetry_space_group_name_H-M 'C 1 2/m 1'
_symmetry_Int_Tables_number 12
_symmetry_space_group_name_Hall '-C 2y'
loop_
_atom_site_label
_atom_site_type_symbol
_atom_site_fract_x
_atom_site_fract_y
_atom_site_fract_z
Pr1 Pr 0.000 0.000 0.000
Au1 Au 0.000 0.249 0.500
Au2 Au 0.101 0.500 0.203
```

Top 10 peaks for 2θ from 10° to 80°, low angle first:
h k l  two_theta  I (rel.)
1 1 -1  22.81  19
1 1 -2  29.68  25
2 0 0  33.86  100
1 1 2  40.29  42
0 2 2  41.31  35
2 2 -1  44.46  49
2 2 2  61.51  19
1 3 -3  61.60  12
0 4 0  64.69  16
4 2 -1  75.05  21

---

10.
Ti2AgIrO8: calculated PXRD pattern (Cu Kα (λ = 1.5418 Å)), based on a DFT-relaxed cell (PBE, Alexandria).
Kinematic intensities with the Lorentz-polarization factor, no thermal factor.

Structure:
```
data_Ti2AgIrO8
_cell_length_a 4.613
_cell_length_b 6.416
_cell_length_c 4.622
_cell_angle_alpha 90.00
_cell_angle_beta 90.35
_cell_angle_gamma 90.00
_symmetry_space_group_name_H-M 'P 1 2/m 1'
_symmetry_Int_Tables_number 10
_symmetry_space_group_name_Hall '-P 2y'
loop_
_atom_site_label
_atom_site_type_symbol
_atom_site_fract_x
_atom_site_fract_y
_atom_site_fract_z
Ti1 Ti 0.000 0.242 0.000
Ag1 Ag 0.500 0.000 0.500
Ir1 Ir 0.500 0.500 0.500
O1 O 0.183 0.000 0.181
O2 O 0.202 0.500 0.200
O3 O 0.289 0.288 0.709
```

Top 10 peaks for 2θ from 10° to 80°, low angle first:
h k l  two_theta  I (rel.)
1 0 0  19.22  61
1 0 -1  27.23  58
1 0 1  27.40  60
0 2 0  27.81  15
1 2 0  34.03  100
0 0 2  39.01  23
1 2 -1  39.32  27
2 2 -1  52.62  37
2 2 1  52.82  41
1 4 -1  64.75  19

---

11.
Rb3MgBi2S6: calculated PXRD pattern (Cu Kα (λ = 1.5418 Å)), based on a DFT-relaxed cell (PBE, Alexandria).
Kinematic intensities with the Lorentz-polarization factor, no thermal factor.

Structure:
```
data_Rb3MgBi2S6
_cell_length_a 7.051
_cell_length_b 12.212
_cell_length_c 8.067
_cell_angle_alpha 90.00
_cell_angle_beta 106.94
_cell_angle_gamma 90.00
_symmetry_space_group_name_H-M 'C 1 2/m 1'
_symmetry_Int_Tables_number 12
_symmetry_space_group_name_Hall '-C 2y'
loop_
_atom_site_label
_atom_site_type_symbol
_atom_site_fract_x
_atom_site_fract_y
_atom_site_fract_z
Rb1 Rb 0.000 0.000 0.000
Rb2 Rb 0.000 0.330 0.000
Mg1 Mg 0.000 0.500 0.500
Bi1 Bi 0.000 0.166 0.500
S1 S 0.224 0.341 0.692
S2 S 0.245 0.000 0.694
```

Top 10 peaks for 2θ from 10° to 80°, low angle first:
h k l  two_theta  I (rel.)
0 0 1  11.47  24
0 0 2  23.05  23
2 0 0  26.43  43
1 3 1  29.67  100
2 0 2  40.32  37
3 3 -1  44.52  33
1 3 3  46.96  15
3 3 1  50.71  19
4 0 0  54.41  18
5 3 -3  72.84  15

---

12.
NaHoGeO4: calculated PXRD pattern (Cu Kα (λ = 1.5418 Å)), based on a DFT-relaxed cell (PBE, Alexandria).
Kinematic intensities with the Lorentz-polarization factor, no thermal factor.

Structure:
```
data_NaHoGeO4
_cell_length_a 11.480
_cell_length_b 6.479
_cell_length_c 5.323
_cell_angle_alpha 90.00
_cell_angle_beta 90.00
_cell_angle_gamma 90.00
_symmetry_space_group_name_H-M 'P n m a'
_symmetry_Int_Tables_number 62
_symmetry_space_group_name_Hall '-P 2ac 2n'
loop_
_atom_site_label
_atom_site_type_symbol
_atom_site_fract_x
_atom_site_fract_y
_atom_site_fract_z
Na1 Na 0.000 0.000 0.000
Ho1 Ho 0.223 0.250 0.494
Ge1 Ge 0.098 0.750 0.553
O1 O 0.045 0.250 0.328
O2 O 0.111 0.750 0.226
O3 O 0.175 0.542 0.707
```

Top 10 peaks for 2θ from 10° to 80°, low angle first:
h k l  two_theta  I (rel.)
2 0 0  15.44  39
1 0 1  18.37  25
1 1 1  22.97  82
0 2 0  27.54  43
3 0 1  28.73  26
3 1 1  31.95  100
1 2 1  33.31  28
0 2 2  44.04  20
2 2 2  46.94  27
3 3 1  51.54  27